Calculated X-ray diffraction stick pattern
Compound: Ba3InSe4Cl
Radiation: Cu Kα (weighted mean of Kα1 and Kα2)
Structure: a cell relaxed with GGA-PBE
No peak broadening, texture or thermal motion is included.

Crystal structure
abc: 9.8385 9.8385 9.8385
angles: 127.45 127.45 77.51
Atoms (fractional coordinates):
Ba 0.1545 0.6545 0.8091
Ba 0.2500 0.2500 0.0000
Ba 0.3455 0.1545 0.5000
Ba 0.6545 0.8455 0.5000
Ba 0.7500 0.7500 0.0000
Ba 0.8455 0.3455 0.1909
In 0.2500 0.7500 0.5000
In 0.7500 0.2500 0.5000
Se 0.0186 0.1972 0.5000
Se 0.1972 0.6972 0.1786
Se 0.3028 0.4814 0.5000
Se 0.4814 0.9814 0.1786
Se 0.5186 0.0186 0.8214
Se 0.6972 0.5186 0.5000
Se 0.8028 0.3028 0.8214
Se 0.9814 0.8028 0.5000
Cl 0.0000 0.0000 0.0000
Cl 0.5000 0.5000 0.0000

Principal peaks in the range 2θ from 10° to 80°, by intensity:
- 2θ 28.81, d = 3.099 Å, I = 100
- 2θ 23.49, d = 3.787 Å, I = 38
- 2θ 32.51, d = 2.754 Å, I = 27
- 2θ 31.07, d = 2.879 Å, I = 23
- 2θ 29.00, d = 3.079 Å, I = 20
- 2θ 37.30, d = 2.411 Å, I = 19

Calculated X-ray diffraction stick pattern
Compound: BaLaCl5
Radiation: Cu Kα (weighted mean of Kα1 and Kα2)
Structure: a cell relaxed with GGA-PBE
No peak broadening, texture or thermal motion is included.

Crystal structure
abc: 7.8152 7.8152 10.8059
angles: 110.13 110.13 71.38
Atoms (fractional coordinates):
Ba 0.0451 0.9549 0.7500
Ba 0.9549 0.0451 0.2500
La 0.5000 0.5000 0.0000
La 0.5000 0.5000 0.5000
Cl 0.1826 0.7945 0.0303
Cl 0.2055 0.8174 0.4697
Cl 0.2425 0.2846 0.3778
Cl 0.2846 0.2425 0.8778
Cl 0.4031 0.5969 0.7500
Cl 0.5969 0.4031 0.2500
Cl 0.7154 0.7575 0.1222
Cl 0.7575 0.7154 0.6222
Cl 0.7945 0.1826 0.5303
Cl 0.8174 0.2055 0.9697

Principal peaks in the range 2θ from 10° to 80°, by intensity:
- 2θ 19.09, d = 4.648 Å, I = 100
- 2θ 15.41, d = 5.749 Å, I = 96
- 2θ 36.76, d = 2.445 Å, I = 55
- 2θ 19.47, d = 4.560 Å, I = 45
- 2θ 33.83, d = 2.649 Å, I = 38
- 2θ 31.11, d = 2.874 Å, I = 36

Calculated X-ray diffraction stick pattern
Compound: Ba5La2Cl16
Radiation: Cu Kα (weighted mean of Kα1 and Kα2)
Structure: a cell relaxed with GGA-PBE
No peak broadening, texture or thermal motion is included.

Crystal structure
abc: 9.5632 9.5632 19.3327
angles: 90.00 90.00 115.47
Atoms (fractional coordinates):
Ba 0.2500 0.2500 0.1166
Ba 0.2500 0.2500 0.6166
Ba 0.2500 0.7500 0.2500
Ba 0.2500 0.7500 0.5265
Ba 0.2500 0.7500 0.9735
Ba 0.7500 0.2500 0.0265
Ba 0.7500 0.2500 0.4735
Ba 0.7500 0.2500 0.7500
Ba 0.7500 0.7500 0.3834
Ba 0.7500 0.7500 0.8834
La 0.2500 0.2500 0.3679
La 0.2500 0.2500 0.8679
La 0.7500 0.7500 0.1321
La 0.7500 0.7500 0.6321
Cl 0.0242 0.6277 0.4005
Cl 0.0511 0.2216 0.9757
Cl 0.0759 0.8791 0.6350
Cl 0.0776 0.2689 0.7574
Cl 0.1209 0.9241 0.8650
Cl 0.1277 0.5242 0.0995
Cl 0.2216 0.0511 0.4757
Cl 0.2311 0.4224 0.2574
Cl 0.2689 0.0776 0.2574
Cl 0.2784 0.4489 0.4757
Cl 0.3723 0.9758 0.0995
Cl 0.3791 0.5759 0.8650
Cl 0.4224 0.2311 0.7574
Cl 0.4241 0.6209 0.6350
Cl 0.4489 0.2784 0.9757
Cl 0.4758 0.8723 0.4005
Cl 0.5242 0.1277 0.5995
Cl 0.5511 0.7216 0.0243
Cl 0.5759 0.3791 0.3650
Cl 0.5776 0.7689 0.2426
Cl 0.6209 0.4241 0.1350
Cl 0.6277 0.0242 0.9005
Cl 0.7216 0.5511 0.5243
Cl 0.7311 0.9224 0.7426
Cl 0.7689 0.5776 0.7426
Cl 0.7784 0.9489 0.5243
Cl 0.8723 0.4758 0.9005
Cl 0.8791 0.0759 0.1350
Cl 0.9224 0.7311 0.2426
Cl 0.9241 0.1209 0.3650
Cl 0.9489 0.7784 0.0243
Cl 0.9758 0.3723 0.5995

Principal peaks in the range 2θ from 10° to 80°, by intensity:
- 2θ 20.57, d = 4.317 Å, I = 100
- 2θ 33.82, d = 2.650 Å, I = 87
- 2θ 21.42, d = 4.149 Å, I = 61
- 2θ 41.54, d = 2.174 Å, I = 44
- 2θ 25.38, d = 3.510 Å, I = 40
- 2θ 38.23, d = 2.354 Å, I = 30

Calculated X-ray diffraction stick pattern
Compound: BaLaCl5
Radiation: Cu Kα (weighted mean of Kα1 and Kα2)
Structure: a cell relaxed with GGA-PBE
No peak broadening, texture or thermal motion is included.

Crystal structure
abc: 7.7793 4.5751 13.0637
angles: 90.00 92.93 90.00
Atoms (fractional coordinates):
Ba 0.0553 0.2500 0.3432
Ba 0.9447 0.7500 0.6568
La 0.4364 0.7500 0.1539
La 0.5636 0.2500 0.8461
Cl 0.0794 0.7500 0.1603
Cl 0.1548 0.2500 0.5756
Cl 0.3296 0.2500 0.0202
Cl 0.3627 0.7500 0.3586
Cl 0.3628 0.7500 0.7829
Cl 0.6372 0.2500 0.2171
Cl 0.6373 0.2500 0.6414
Cl 0.6704 0.7500 0.9798
Cl 0.8452 0.7500 0.4244
Cl 0.9206 0.2500 0.8397

Principal peaks in the range 2θ from 10° to 80°, by intensity:
- 2θ 13.56, d = 6.529 Å, I = 100
- 2θ 33.73, d = 2.657 Å, I = 56
- 2θ 23.75, d = 3.746 Å, I = 43
- 2θ 23.40, d = 3.801 Å, I = 39
- 2θ 22.91, d = 3.882 Å, I = 38
- 2θ 40.32, d = 2.237 Å, I = 35

Calculated X-ray diffraction stick pattern
Compound: BaLaCl5
Radiation: Cu Kα (weighted mean of Kα1 and Kα2)
Structure: a cell relaxed with GGA-PBE
No peak broadening, texture or thermal motion is included.

Crystal structure
abc: 13.2943 10.0130 19.0722
angles: 90.00 133.14 90.00
Atoms (fractional coordinates):
Ba 0.0490 0.2221 0.3507
Ba 0.0490 0.2779 0.8507
Ba 0.2579 0.7341 0.5317
Ba 0.2579 0.7659 0.0317
Ba 0.7421 0.2341 0.9683
Ba 0.7421 0.2659 0.4683
Ba 0.9510 0.7221 0.1493
Ba 0.9510 0.7779 0.6493
La 0.1937 0.2130 0.1942
La 0.1937 0.2870 0.6942
La 0.4665 0.7351 0.8508
La 0.4665 0.7649 0.3508
La 0.5335 0.2351 0.6492
La 0.5335 0.2649 0.1492
La 0.8063 0.7130 0.3058
La 0.8063 0.7870 0.8058
Cl 0.0032 0.0937 0.6491
Cl 0.0032 0.4063 0.1491
Cl 0.0060 0.5581 0.3262
Cl 0.0060 0.9419 0.8262
Cl 0.0163 0.1971 0.9961
Cl 0.0163 0.3029 0.4961
Cl 0.2700 0.7374 0.8641
Cl 0.2700 0.7626 0.3641
Cl 0.2731 0.6155 0.1885
Cl 0.2731 0.8845 0.6885
Cl 0.2990 0.5357 0.7078
Cl 0.2990 0.9643 0.2078
Cl 0.3192 0.2366 0.3806
Cl 0.3192 0.2634 0.8806
Cl 0.3254 0.0435 0.5350
Cl 0.3254 0.4565 0.0350
Cl 0.3335 0.0719 0.0389
Cl 0.3335 0.4281 0.5389
Cl 0.4442 0.2047 0.7545
Cl 0.4442 0.2953 0.2545
Cl 0.5558 0.7047 0.7455
Cl 0.5558 0.7953 0.2455
Cl 0.6665 0.5719 0.4611
Cl 0.6665 0.9281 0.9611
Cl 0.6746 0.5435 0.9650
Cl 0.6746 0.9565 0.4650
Cl 0.6808 0.7366 0.1194
Cl 0.6808 0.7634 0.6194
Cl 0.7010 0.0357 0.7922
Cl 0.7010 0.4643 0.2922
Cl 0.7269 0.1155 0.3115
Cl 0.7269 0.3845 0.8115
Cl 0.7300 0.2374 0.6359
Cl 0.7300 0.2626 0.1359
Cl 0.9837 0.6971 0.5039
Cl 0.9837 0.8029 0.0039
Cl 0.9940 0.0581 0.1738
Cl 0.9940 0.4419 0.6738
Cl 0.9968 0.5937 0.8509
Cl 0.9968 0.9063 0.3509

Principal peaks in the range 2θ from 10° to 80°, by intensity:
- 2θ 17.72, d = 5.006 Å, I = 100
- 2θ 22.76, d = 3.907 Å, I = 61
- 2θ 22.04, d = 4.032 Å, I = 55
- 2θ 33.68, d = 2.661 Å, I = 49
- 2θ 18.63, d = 4.763 Å, I = 46
- 2θ 38.77, d = 2.323 Å, I = 38

Calculated X-ray diffraction stick pattern
Compound: BaLaCl5
Radiation: Cu Kα (weighted mean of Kα1 and Kα2)
Structure: a cell relaxed with GGA-PBE
No peak broadening, texture or thermal motion is included.

Crystal structure
abc: 19.1359 7.3127 5.9483
angles: 90.00 90.00 90.00
Atoms (fractional coordinates):
Ba 0.0564 0.2500 0.2183
Ba 0.4436 0.7500 0.7183
Ba 0.5564 0.2500 0.2817
Ba 0.9436 0.7500 0.7817
La 0.1787 0.7500 0.5668
La 0.3213 0.2500 0.0668
La 0.6787 0.7500 0.9332
La 0.8213 0.2500 0.4332
Cl 0.0630 0.7500 0.2770
Cl 0.0860 0.0064 0.7570
Cl 0.0860 0.4936 0.7570
Cl 0.2074 0.0226 0.2365
Cl 0.2074 0.4774 0.2365
Cl 0.2926 0.5226 0.7365
Cl 0.2926 0.9774 0.7365
Cl 0.4140 0.5064 0.2570
Cl 0.4140 0.9936 0.2570
Cl 0.4370 0.2500 0.7770
Cl 0.5630 0.7500 0.2230
Cl 0.5860 0.0064 0.7430
Cl 0.5860 0.4936 0.7430
Cl 0.7074 0.0226 0.2635
Cl 0.7074 0.4774 0.2635
Cl 0.7926 0.5226 0.7635
Cl 0.7926 0.9774 0.7635
Cl 0.9140 0.5064 0.2430
Cl 0.9140 0.9936 0.2430
Cl 0.9370 0.2500 0.7230

Principal peaks in the range 2θ from 10° to 80°, by intensity:
- 2θ 34.35, d = 2.610 Å, I = 100
- 2θ 22.21, d = 4.003 Å, I = 64
- 2θ 19.79, d = 4.486 Å, I = 56
- 2θ 19.23, d = 4.614 Å, I = 45
- 2θ 40.22, d = 2.242 Å, I = 30
- 2θ 41.55, d = 2.173 Å, I = 30

> Which formula does entry 2 have?

BaLaCl5